# Hf10SiMo3
Computed powder XRD pattern, λ = 1.5418 Å (Cu Kα). Input: a PBE-relaxed structure.

Peak list (10 most intense, 2θ from 5° to 70°, low angle first)
| 2θ (°) | I_rel |
| --- | --- |
| 31.40 | 51 |
| 32.95 | 23 |
| 37.29 | 46 |
| 37.73 | 100 |
| 39.08 | 29 |
| 41.28 | 17 |
| 41.57 | 24 |
| 62.53 | 24 |
| 64.99 | 24 |
| 65.60 | 25 |

Cell and atoms:
abc: 8.6891 8.6891 8.7472
angles: 90.00 90.00 120.00
Space group P6_3/mmc (No. 194)
Asymmetric unit:
Hf 0.0000 0.0000 0.0000 x2
Hf 0.0771 0.5386 0.2500 x6
Hf 0.2005 0.4010 0.5445 x12
Si 0.3333 0.6667 0.7500 x2
Mo 0.1153 0.2306 0.2500 x6